Record 1
Structure and theoretical X-ray powder pattern of BaLiTiAs2 (a DFT-relaxed cell (PBE, Alexandria); Cu Kα, 1.54184 Å).
Kinematic intensities with the Lorentz-polarization factor, no thermal factor.

Structural model:
a b c (Å): 7.3410 7.3410 7.3410
angles (deg): 146.70 146.70 47.80
Positions (direct):
Ba 0.0000 0.0000 0.0000
Li 0.2500 0.7500 0.5000
Ti 0.7500 0.2500 0.5000
As 0.3577 0.3577 0.0000
As 0.6423 0.6423 0.0000

Principal peaks in the range 15 to 90 degrees two-theta, most intense first:
29.14°, intensity 100; 52.79°, intensity 37; 30.04°, intensity 34; 43.01°, intensity 26; 32.94°, intensity 22; 51.09°, intensity 21


Record 2
Structure and theoretical X-ray powder pattern of LaSn5Te7 (a DFT-relaxed cell (PBE, Alexandria); Cu Kα, 1.54184 Å).
Kinematic intensities with the Lorentz-polarization factor, no thermal factor.

Structural model:
a b c (Å): 7.8157 7.8157 26.2341
angles (deg): 90.04 90.04 33.13
Positions (direct):
La 0.0000 0.0000 0.0000
La 0.5888 0.5888 0.5004
Sn 0.0567 0.0567 0.3334
Sn 0.0766 0.0766 0.6850
Sn 0.2402 0.2402 0.1115
Sn 0.2655 0.2655 0.9066
Sn 0.3237 0.3237 0.4065
Sn 0.3478 0.3478 0.6113
Sn 0.5115 0.5115 0.1850
Sn 0.5321 0.5321 0.8333
Sn 0.7868 0.7868 0.2567
Sn 0.8012 0.8012 0.7562
Te 0.1482 0.1482 0.2216
Te 0.1681 0.1681 0.7957
Te 0.2414 0.2414 0.5112
Te 0.3475 0.3475 0.0115
Te 0.4206 0.4206 0.2958
Te 0.4401 0.4401 0.7215
Te 0.5959 0.5959 0.0785
Te 0.6217 0.6217 0.9371
Te 0.6813 0.6813 0.3789
Te 0.7130 0.7130 0.6503
Te 0.8747 0.8747 0.1509
Te 0.9075 0.9075 0.8786
Te 0.9674 0.9674 0.4372
Te 0.9922 0.9922 0.5785

Principal peaks in the range 15 to 90 degrees two-theta, most intense first:
27.68°, intensity 100; 28.72°, intensity 90; 26.60°, intensity 67; 40.48°, intensity 43; 37.35°, intensity 39; 40.13°, intensity 38


Record 3
Structure and theoretical X-ray powder pattern of Bi2SO5 (a DFT-relaxed cell (PBE, Alexandria); Cu Kα, 1.54184 Å).
Kinematic intensities with the Lorentz-polarization factor, no thermal factor.

Structural model:
a b c (Å): 4.1618 4.2696 7.1615
angles (deg): 106.40 99.82 90.84
Positions (direct):
Bi 0.0000 0.0000 0.0000
Bi 0.4434 0.2943 0.6514
S 0.7561 0.5505 0.3605
O 0.1212 0.4875 0.3787
O 0.5095 0.8335 0.8110
O 0.6227 0.3671 0.1372
O 0.7325 0.9095 0.3756
O 0.9919 0.3427 0.8205

Principal peaks in the range 15 to 90 degrees two-theta, most intense first:
29.02°, intensity 100; 27.47°, intensity 100; 28.61°, intensity 93; 30.36°, intensity 73; 31.11°, intensity 72; 23.27°, intensity 62


Record 4
Structure and theoretical X-ray powder pattern of Tm2Fe9Si6 (a DFT-relaxed cell (PBE, Alexandria); Cu Kα, 1.54184 Å).
Kinematic intensities with the Lorentz-polarization factor, no thermal factor.

Structural model:
a b c (Å): 5.0315 5.0315 11.2475
angles (deg): 90.00 90.00 120.00
Positions (direct):
Tm 0.0000 0.0000 0.1726
Tm 0.0000 0.0000 0.8274
Fe 0.0000 0.5000 0.0000
Fe 0.0000 0.5000 0.3327
Fe 0.0000 0.5000 0.6673
Fe 0.5000 0.0000 0.0000
Fe 0.5000 0.0000 0.3327
Fe 0.5000 0.0000 0.6673
Fe 0.5000 0.5000 0.0000
Fe 0.5000 0.5000 0.3327
Fe 0.5000 0.5000 0.6673
Si 0.3333 0.6667 0.1657
Si 0.3333 0.6667 0.5000
Si 0.3333 0.6667 0.8343
Si 0.6667 0.3333 0.1657
Si 0.6667 0.3333 0.5000
Si 0.6667 0.3333 0.8343

Principal peaks in the range 15 to 90 degrees two-theta, most intense first:
43.31°, intensity 100; 31.48°, intensity 95; 41.45°, intensity 75; 65.71°, intensity 37; 21.87°, intensity 32; 25.87°, intensity 31


Record 5
Structure and theoretical X-ray powder pattern of Er3Si2GePt9 (a DFT-relaxed cell (PBE, Alexandria); Cu Kα, 1.54184 Å).
Kinematic intensities with the Lorentz-polarization factor, no thermal factor.

Structural model:
a b c (Å): 6.4080 6.4080 8.6993
angles (deg): 90.00 90.00 120.00
Positions (direct):
Er 0.0000 0.0000 0.0000
Er 0.3333 0.6667 0.7289
Er 0.6667 0.3333 0.2711
Si 0.3333 0.6667 0.1861
Si 0.6667 0.3333 0.8139
Ge 0.0000 0.0000 0.5000
Pt 0.0000 0.5000 0.0000
Pt 0.1428 0.2855 0.2776
Pt 0.1428 0.8572 0.2776
Pt 0.2855 0.1428 0.7224
Pt 0.5000 0.0000 0.0000
Pt 0.5000 0.5000 0.0000
Pt 0.7145 0.8572 0.2776
Pt 0.8572 0.1428 0.7224
Pt 0.8572 0.7145 0.7224

Principal peaks in the range 15 to 90 degrees two-theta, most intense first:
33.91°, intensity 100; 38.48°, intensity 90; 45.23°, intensity 29; 57.53°, intensity 25; 41.52°, intensity 20; 30.84°, intensity 20